No. 1
Simulated powder X-ray diffraction pattern of Te4AsI for Cu Kα X-rays, from a cell relaxed with PBE.
Intensities are scaled so that the largest is 1000.

Cell and atoms:
```
Te4AsI
1.0
6.2594 -4.9676 0.0000
6.2594 4.9676 0.0000
-2.9605 0.0000 7.8420
Te As I
8 2 2
direct
0.0912 0.6709 0.4309
0.0915 0.0915 0.2533
0.2126 0.7874 0.0000
0.3291 0.9088 0.5691
0.6709 0.0912 0.4309
0.7874 0.2126 0.0000
0.9085 0.9085 0.7467
0.9088 0.3291 0.5691
0.1325 0.1325 0.7811
0.8675 0.8675 0.2189
0.3729 0.3729 0.7401
0.6271 0.6271 0.2599
```

Peak list (10 most intense, 10° ≤ 2θ ≤ 80°, low angle first)
2θ (°), I (rel.)
11.68, 527
15.13, 245
28.41, 399
28.53, 289
28.79, 444
29.01, 1000
30.53, 220
34.52, 207
36.16, 241
40.77, 219

***

No. 2
Simulated powder X-ray diffraction pattern of K2NaCdBr5 for Cu Kα X-rays, from a cell relaxed with PBE.
Intensities are scaled so that the largest is 1000.

Cell and atoms:
```
K2NaCdBr5
1.0
2.2301 -9.3437 0.0000
2.2301 9.3437 0.0000
0.0000 0.0000 14.2160
K Na Cd Br
4 2 2 10
direct
0.1118 0.8882 0.5000
0.1505 0.8495 0.1246
0.8495 0.1505 0.6246
0.8882 0.1118 0.0000
0.2140 0.7860 0.8389
0.7860 0.2140 0.3389
0.4720 0.5280 0.2595
0.5280 0.4720 0.7595
0.0495 0.9505 0.8637
0.2823 0.7177 0.4764
0.3262 0.6738 0.1989
0.3777 0.6223 0.8121
0.4882 0.5118 0.5822
0.5118 0.4882 0.0822
0.6223 0.3777 0.3121
0.6738 0.3262 0.6989
0.7177 0.2823 0.9764
0.9505 0.0495 0.3637
```

Peak list (10 most intense, 10° ≤ 2θ ≤ 80°, low angle first)
2θ (°), I (rel.)
20.47, 393
24.03, 557
26.82, 472
27.61, 251
27.88, 1000
29.36, 745
32.57, 304
40.45, 620
45.74, 273
50.76, 307

***

No. 3
Simulated powder X-ray diffraction pattern of La3Nd3Pd2 for Cu Kα X-rays, from a cell relaxed with PBE.
Intensities are scaled so that the largest is 1000.

Cell and atoms:
```
La3Nd3Pd2
1.0
1.9565 -6.8657 0.0000
1.9565 6.8657 0.0000
0.0000 0.0000 19.1570
La Nd Pd
6 6 4
direct
0.0719 0.9281 0.7500
0.1666 0.8334 0.0572
0.1666 0.8334 0.4428
0.8334 0.1666 0.5572
0.8334 0.1666 0.9428
0.9281 0.0719 0.2500
0.1965 0.8035 0.2500
0.4437 0.5563 0.0903
0.4437 0.5563 0.4097
0.5563 0.4437 0.5903
0.5563 0.4437 0.9097
0.8035 0.1965 0.7500
0.2160 0.7840 0.6360
0.2160 0.7840 0.8640
0.7840 0.2160 0.1360
0.7840 0.2160 0.3640
```

Peak list (10 most intense, 10° ≤ 2θ ≤ 80°, low angle first)
2θ (°), I (rel.)
26.38, 439
27.94, 495
30.04, 858
30.20, 423
33.23, 1000
33.37, 895
35.10, 759
46.41, 356
53.68, 261
59.49, 428

***

No. 4
Simulated powder X-ray diffraction pattern of RbAgTe3 for Cu Kα X-rays, from a cell relaxed with PBE.
Intensities are scaled so that the largest is 1000.

Cell and atoms:
```
RbAgTe3
1.0
7.0176 0.0000 0.0000
-2.5808 6.5412 0.0000
-1.2077 -0.8954 8.5776
Rb Ag Te
2 2 6
direct
0.1891 0.2601 0.3332
0.8109 0.7399 0.6668
0.2800 0.7629 0.1381
0.7200 0.2371 0.8619
0.1543 0.4097 0.9054
0.3143 0.0969 0.9209
0.3136 0.8299 0.4613
0.6864 0.1701 0.5387
0.6857 0.9031 0.0791
0.8457 0.5903 0.0946
```

Peak list (10 most intense, 10° ≤ 2θ ≤ 80°, low angle first)
2θ (°), I (rel.)
10.31, 746
15.28, 404
16.22, 456
22.92, 575
26.05, 662
26.60, 432
27.46, 1000
27.72, 780
32.01, 444
40.44, 381

***

No. 5
Simulated powder X-ray diffraction pattern of CoNi2Ru for Cu Kα X-rays, from a cell relaxed with PBE.
Intensities are scaled so that the largest is 1000.

Cell and atoms:
```
CoNi2Ru
1.0
4.2271 -1.2671 0.0000
4.2271 1.2671 0.0000
-0.7373 0.0000 4.3826
Co Ni Ru
1 2 1
direct
0.0000 0.0000 0.0000
0.2530 0.2530 0.7498
0.5024 0.5024 0.5081
0.7508 0.7508 0.2473
```

Peak list (10 most intense, 10° ≤ 2θ ≤ 80°, low angle first)
2θ (°), I (rel.)
20.26, 52
21.32, 64
43.38, 1000
43.52, 991
50.14, 320
50.84, 615
74.14, 185
74.24, 184
74.55, 91
74.95, 90

***

No. 6
Simulated powder X-ray diffraction pattern of Na3Cu2Cl6 for Cu Kα X-rays, from a cell relaxed with PBE.
Intensities are scaled so that the largest is 1000.

Cell and atoms:
```
Na3Cu2Cl6
1.0
-2.3127 2.3127 11.8020
2.3127 -2.3127 11.8020
2.3127 2.3127 -11.8020
Na Cu Cl
3 2 6
direct
0.0000 0.0000 0.0000
0.1838 0.1838 0.0000
0.8162 0.8162 0.0000
0.4017 0.4017 0.0000
0.5983 0.5983 0.0000
0.0787 0.5787 0.5000
0.2990 0.2990 0.0000
0.4213 0.9213 0.5000
0.5787 0.0787 0.5000
0.7010 0.7010 0.0000
0.9213 0.4213 0.5000
```

Peak list (10 most intense, 10° ≤ 2θ ≤ 80°, low angle first)
2θ (°), I (rel.)
15.01, 470
19.56, 556
22.30, 290
22.60, 390
26.99, 531
28.32, 290
38.94, 1000
47.50, 311
55.64, 303
56.25, 304

***

No. 7
Simulated powder X-ray diffraction pattern of Pa2Si3Ir4Rh for Cu Kα X-rays, from a cell relaxed with PBE.
Intensities are scaled so that the largest is 1000.

Cell and atoms:
```
Pa2Si3Ir4Rh
1.0
3.9637 0.0000 0.0000
0.0000 3.9637 0.0000
0.0000 0.0000 10.9559
Pa Si Ir Rh
2 3 4 1
direct
0.0000 0.5000 0.2426
0.5000 0.0000 0.7574
0.0000 0.0000 0.0000
0.0000 0.5000 0.6200
0.5000 0.0000 0.3800
0.0000 0.0000 0.5000
0.0000 0.5000 0.8324
0.5000 0.0000 0.1676
0.5000 0.5000 0.5000
0.5000 0.5000 0.0000
```

Peak list (10 most intense, 10° ≤ 2θ ≤ 80°, low angle first)
2θ (°), I (rel.)
24.37, 211
32.70, 125
32.99, 159
33.36, 223
35.99, 1000
45.78, 379
47.41, 224
66.75, 125
68.03, 155
78.24, 218

***

No. 8
Simulated powder X-ray diffraction pattern of DyYEr2Th for Cu Kα X-rays, from a cell relaxed with PBE.
Intensities are scaled so that the largest is 1000.

Cell and atoms:
```
DyYEr2Th
1.0
8.4212 0.0000 0.0000
0.0000 6.3644 0.0000
-0.7785 0.0000 6.2380
Dy Y Er Th
2 2 4 2
direct
0.0000 0.0000 0.0000
0.0000 0.0000 0.5000
0.5000 0.1828 0.2500
0.5000 0.8172 0.7500
0.3117 0.3030 0.7128
0.3117 0.6970 0.2128
0.6883 0.3030 0.7872
0.6883 0.6970 0.2872
0.0000 0.4449 0.2500
0.0000 0.5551 0.7500
```

Peak list (10 most intense, 10° ≤ 2θ ≤ 80°, low angle first)
2θ (°), I (rel.)
10.59, 595
27.96, 530
28.62, 475
30.05, 1000
30.60, 722
31.95, 652
32.13, 619
34.90, 485
35.46, 562
36.54, 465

***

No. 9
Simulated powder X-ray diffraction pattern of AcGaPt2 for Cu Kα X-rays, from a cell relaxed with PBE.
Intensities are scaled so that the largest is 1000.

Cell and atoms:
```
AcGaPt2
1.0
4.4844 0.0000 0.0000
0.0000 4.4844 0.0000
0.0000 0.0000 19.9589
Ac Ga Pt
4 4 8
direct
0.0551 0.0710 0.0000
0.0710 0.9449 0.7500
0.9290 0.0551 0.2500
0.9449 0.9290 0.5000
0.4271 0.5303 0.3398
0.4697 0.4271 0.5898
0.5303 0.5729 0.0898
0.5729 0.4697 0.8398
0.0728 0.5686 0.8866
0.4233 0.5712 0.2183
0.4288 0.4233 0.4683
0.4314 0.0728 0.1366
0.5686 0.9272 0.6366
0.5712 0.5767 0.9683
0.5767 0.4288 0.7183
0.9272 0.4314 0.3866
```

Peak list (10 most intense, 10° ≤ 2θ ≤ 80°, low angle first)
2θ (°), I (rel.)
17.78, 201
21.73, 472
26.73, 196
28.14, 253
31.25, 205
33.49, 1000
40.22, 316
40.48, 366
41.42, 308
46.31, 198

***

No. 10
Simulated powder X-ray diffraction pattern of BeSiB for Cu Kα X-rays, from a cell relaxed with PBE.
Intensities are scaled so that the largest is 1000.

Cell and atoms:
```
BeSiB
1.0
1.6685 0.9633 6.6028
-1.6685 0.9633 6.6028
0.0000 -1.9266 6.6028
Be Si B
2 2 2
direct
0.0000 0.0000 0.0000
0.3958 0.3958 0.3958
0.5969 0.5969 0.5969
0.8061 0.8061 0.8061
0.4972 0.4972 0.4972
0.6976 0.6976 0.6976
```

Peak list (10 most intense, 10° ≤ 2θ ≤ 80°, low angle first)
2θ (°), I (rel.)
27.01, 133
31.28, 1000
35.98, 312
38.56, 551
41.01, 213
55.04, 453
56.31, 392
64.68, 104
69.21, 103
70.87, 237

***

No. 11
Simulated powder X-ray diffraction pattern of LaEr4Se5 for Cu Kα X-rays, from a cell relaxed with PBE.
Intensities are scaled so that the largest is 1000.

Cell and atoms:
```
LaEr4Se5
1.0
-2.0359 2.9000 10.2806
2.0359 -2.9000 10.2806
2.0359 2.9000 -10.2806
La Er Se
1 4 5
direct
0.0000 0.0000 0.0000
0.2037 0.2037 0.0000
0.4014 0.4014 0.0000
0.5986 0.5986 0.0000
0.7963 0.7963 0.0000
0.1084 0.6084 0.5000
0.3020 0.8020 0.5000
0.5000 0.0000 0.5000
0.6980 0.1980 0.5000
0.8916 0.3916 0.5000
```

Peak list (10 most intense, 10° ≤ 2θ ≤ 80°, low angle first)
2θ (°), I (rel.)
26.57, 109
26.75, 106
30.88, 1000
44.04, 120
44.22, 493
44.50, 124
54.72, 126
55.12, 130
72.98, 111
73.10, 106

***

No. 12
Simulated powder X-ray diffraction pattern of CeZn2PO2 for Cu Kα X-rays, from a cell relaxed with PBE.
Intensities are scaled so that the largest is 1000.

Cell and atoms:
```
CeZn2PO2
1.0
3.2249 0.0000 0.0000
0.0000 3.2249 0.0000
0.0000 0.0000 12.2960
Ce Zn P O
1 2 1 2
direct
0.0000 0.0000 0.0000
0.0000 0.0000 0.3135
0.0000 0.0000 0.6865
0.0000 0.0000 0.5000
0.0000 0.0000 0.1634
0.0000 0.0000 0.8366
```

Peak list (10 most intense, 10° ≤ 2θ ≤ 80°, low angle first)
2θ (°), I (rel.)
21.68, 308
27.66, 1000
35.42, 371
39.52, 373
40.54, 127
45.52, 188
52.94, 241
57.12, 120
60.76, 155
64.62, 161

***

No. 13
Simulated powder X-ray diffraction pattern of Ba3NaSn for Cu Kα X-rays, from a cell relaxed with PBE.
Intensities are scaled so that the largest is 1000.

Cell and atoms:
```
Ba3NaSn
1.0
9.1192 0.0000 0.0000
0.0000 9.0276 0.0000
-2.4756 0.0000 11.6035
Ba Na Sn
12 4 4
direct
0.1331 0.1337 0.4130
0.1331 0.3663 0.9130
0.2143 0.5428 0.6270
0.2143 0.9572 0.1270
0.2885 0.0109 0.7553
0.2885 0.4891 0.2553
0.7115 0.5109 0.7447
0.7115 0.9891 0.2447
0.7857 0.0428 0.8730
0.7857 0.4572 0.3730
0.8669 0.6337 0.0870
0.8669 0.8663 0.5870
0.4399 0.6917 0.9687
0.4399 0.8083 0.4687
0.5601 0.1917 0.5313
0.5601 0.3083 0.0313
0.0567 0.7461 0.8656
0.0567 0.7539 0.3656
0.9433 0.2461 0.6344
0.9433 0.2539 0.1344
```

Peak list (10 most intense, 10° ≤ 2θ ≤ 80°, low angle first)
2θ (°), I (rel.)
22.68, 312
24.88, 522
25.12, 723
25.71, 404
28.11, 1000
28.76, 547
30.03, 409
30.34, 327
30.80, 618
33.56, 464